No. 1
Computed powder diffractogram of Th2Mn17Be2 for Cu Kα (λ = 1.5418 Å), from a cell relaxed with PBE.

Structure:
Cell lengths 9.796, 8.829, 6.482 Å; angles 90.00, 98.64, 90.00 degrees
Space group C2/m (No. 12)
Inequivalent atoms, fractional coordinates:
Th: 0.137 0.000 0.327
Mn: 0.000 0.227 0.000
Mn: 0.000 0.500 0.500
Mn: 0.087 0.261 0.671
Mn: 0.103 0.500 0.893
Mn: 0.135 0.370 0.260
Mn: 0.159 0.000 0.856
Mn: 0.250 0.250 0.000
Be: 0.250 0.250 0.500

Top 10 peaks for 10 to 80 degrees two-theta, sorted by position:
- hkl 2 2 -1, d 3.033, I = 57
- hkl 1 1 -2, d 2.999, I = 34
- hkl 1 3 1, d 2.537, I = 37
- hkl 2 2 -2, d 2.411, I = 31
- hkl 0 4 0, d 2.207, I = 35
- hkl 2 2 2, d 2.177, I = 100
- hkl 1 3 -2, d 2.162, I = 55
- hkl 4 2 0, d 2.124, I = 44
- hkl 4 0 -2, d 2.089, I = 41
- hkl 5 3 1, d 1.524, I = 27

No. 2
Computed powder diffractogram of I for Cu Kα (λ = 1.5418 Å), from a cell relaxed with PBE.

Structure:
Cell lengths 4.8762, 4.8762, 8.4964 Å; angles 90.00, 90.00, 120.00 degrees
Space group P3_121 (No. 152)
Inequivalent atoms, fractional coordinates:
I: 0.0000 0.9074 0.1667

Top 10 peaks for 10 to 80 degrees two-theta, sorted by position:
- hkl 1 0 0, d 4.223, I = 100
- hkl 0 1 1, d 3.782, I = 20
- hkl 0 0 3, d 2.832, I = 15
- hkl 1 1 0, d 2.438, I = 14
- hkl 1 0 3, d 2.352, I = 42
- hkl 1 1 1, d 2.344, I = 14
- hkl 2 0 0, d 2.113, I = 17
- hkl 0 2 1, d 2.049, I = 11
- hkl 1 1 3, d 1.848, I = 12
- hkl 1 2 1, d 1.569, I = 13

No. 3
Computed powder diffractogram of Pm3Co4 for Cu Kα (λ = 1.5418 Å), from a cell relaxed with PBE.

Structure:
Cell lengths 3.940, 4.176, 17.133 Å; angles 90.00, 90.00, 90.00 degrees
Space group Immm (No. 71)
Inequivalent atoms, fractional coordinates:
Pm: 0.000 0.000 0.000
Pm: 0.000 0.500 0.315
Co: 0.000 0.000 0.433
Co: 0.000 0.500 0.132

Top 10 peaks for 10 to 80 degrees two-theta, sorted by position:
- hkl 1 0 3, d 3.243, I = 33
- hkl 1 1 2, d 2.718, I = 100
- hkl 0 1 5, d 2.649, I = 70
- hkl 1 1 4, d 2.382, I = 26
- hkl 0 2 0, d 2.088, I = 28
- hkl 1 0 7, d 2.079, I = 25
- hkl 2 0 0, d 1.970, I = 24
- hkl 1 0 9, d 1.715, I = 20
- hkl 2 1 5, d 1.581, I = 28
- hkl 2 2 0, d 1.433, I = 16

No. 4
Computed powder diffractogram of Ba2CaCu3F14 for Cu Kα (λ = 1.5418 Å), from a cell relaxed with PBE.

Structure:
Cell lengths 5.378, 7.392, 14.884 Å; angles 91.64, 90.04, 111.31 degrees
Space group P1 (No. 1)
Inequivalent atoms, fractional coordinates:
Ba: 0.000 0.000 0.000
Ba: 0.094 0.999 0.500
Ba: 0.390 0.781 0.739
Ba: 0.485 0.781 0.239
Ca: 0.668 0.390 0.869
Ca: 0.817 0.390 0.369
Cu: 0.112 0.156 0.743
Cu: 0.139 0.157 0.243
Cu: 0.347 0.625 0.996
Cu: 0.372 0.623 0.496
Cu: 0.742 0.389 0.619
Cu: 0.743 0.391 0.119
F: 0.050 0.894 0.202
F: 0.073 0.625 0.573
F: 0.073 0.646 0.916
F: 0.122 0.555 0.103
F: 0.165 0.364 0.460
F: 0.191 0.416 0.279
F: 0.198 0.711 0.398
F: 0.288 0.070 0.841
F: 0.295 0.365 0.960
F: 0.320 0.416 0.779
F: 0.364 0.227 0.136
F: 0.411 0.154 0.666
F: 0.413 0.134 0.323
F: 0.436 0.887 0.037
F: 0.527 0.553 0.603
F: 0.545 0.886 0.537
F: 0.608 0.711 0.898
F: 0.627 0.273 0.504
F: 0.648 0.627 0.073
F: 0.668 0.646 0.416
F: 0.743 0.275 0.004
F: 0.743 0.507 0.235
F: 0.817 0.134 0.823
F: 0.838 0.155 0.166
F: 0.858 0.505 0.735
F: 0.878 0.070 0.341
F: 0.939 0.893 0.703
F: 0.957 0.225 0.636

Top 10 peaks for 10 to 80 degrees two-theta, sorted by position:
- hkl 0 0 4, d 3.719, I = 29
- hkl 1 1 0, d 3.491, I = 100
- hkl 0 1 -4, d 3.315, I = 27
- hkl 1 1 -2, d 3.189, I = 44
- hkl 1 0 -4, d 3.002, I = 37
- hkl 1 0 4, d 2.970, I = 32
- hkl 2 -1 0, d 2.689, I = 27
- hkl 2 -1 4, d 2.179, I = 29
- hkl 0 3 2, d 2.174, I = 27
- hkl 1 1 -8, d 1.658, I = 21